This entry pairs a crystal structure of MnC2N2 with its theoretical powder diffraction line list. Radiation: copper Kα. Structure: a PBE-relaxed structure.
Lines closer than 0.1° are merged.

Most intense lines, 2θ from 15° to 90°, in order of rising 2θ:
d (Å)	2θ (°)	I_rel
4.337	20.5	100
3.541	25.2	20
2.504	35.9	31
2.168	41.7	25
1.939	46.8	10
1.639	56.1	24
1.533	60.4	2
1.446	64.5	12
1.371	68.4	4
1.252	76.0	4
1.203	79.7	10
1.120	87.0	3

Atomic structure:
Cell lengths 6.1328, 6.1328, 6.1328 Å; angles 90.00, 90.00, 90.00 degrees
Atoms (fractional coordinates):
Mn 0.0000 0.0000 0.0000
Mn 0.5000 0.5000 0.5000
C 0.1971 0.1971 0.1971
C 0.1971 0.8029 0.8029
C 0.8029 0.1971 0.8029
C 0.8029 0.8029 0.1971
N 0.3075 0.3075 0.3075
N 0.3075 0.6925 0.6925
N 0.6925 0.3075 0.6925
N 0.6925 0.6925 0.3075

***

This entry pairs a crystal structure of PmY2Ru2 with its theoretical powder diffraction line list. Radiation: copper Kα. Structure: a PBE-relaxed structure.
Lines closer than 0.1° are merged.

Most intense lines, 2θ from 15° to 90°, in order of rising 2θ:
d (Å)	2θ (°)	I_rel
2.852	31.4	16
2.646	33.9	70
2.431	37.0	85
2.404	37.4	100
2.245	40.2	36
1.731	52.9	14
1.716	53.4	15
1.706	53.7	14
1.489	62.4	24
1.434	65.0	21
1.402	66.7	29
1.358	69.2	14

Atomic structure:
Cell lengths 3.4318, 20.7766, 3.4126 Å; angles 90.00, 90.00, 90.00 degrees
Atoms (fractional coordinates):
Pm 0.0000 0.0000 0.0000
Pm 0.5000 0.5000 0.0000
Y 0.0000 0.1655 0.0000
Y 0.0000 0.8345 0.0000
Y 0.5000 0.3345 0.0000
Y 0.5000 0.6655 0.0000
Ru 0.0000 0.4105 0.5000
Ru 0.0000 0.5895 0.5000
Ru 0.5000 0.0895 0.5000
Ru 0.5000 0.9105 0.5000

***

This entry pairs a crystal structure of LaErTe3 with its theoretical powder diffraction line list. Radiation: copper Kα. Structure: a PBE-relaxed structure.
Lines closer than 0.1° are merged.

Most intense lines, 2θ from 15° to 90°, in order of rising 2θ:
d (Å)	2θ (°)	I_rel
4.314	20.6	52
3.225	27.7	69
3.210	27.8	93
3.079	29.0	100
2.763	32.4	95
2.733	32.8	52
2.714	33.0	38
2.275	39.6	34
2.182	41.4	89
2.172	41.6	63
1.539	60.1	43
1.291	73.4	30

Atomic structure:
Cell lengths 7.4383, 7.4383, 10.8550 Å; angles 90.00, 90.00, 145.89 degrees
Atoms (fractional coordinates):
La 0.2497 0.7503 0.7500
La 0.7503 0.2497 0.2500
Er 0.0000 0.0000 0.0000
Er 0.0000 0.0000 0.5000
Te 0.0861 0.9139 0.2500
Te 0.3553 0.6447 0.0607
Te 0.3553 0.6447 0.4393
Te 0.6447 0.3553 0.5607
Te 0.6447 0.3553 0.9393
Te 0.9139 0.0861 0.7500

***

This entry pairs a crystal structure of Sb3PbAu2 with its theoretical powder diffraction line list. Radiation: copper Kα. Structure: a PBE-relaxed structure.
Lines closer than 0.1° are merged.

Most intense lines, 2θ from 15° to 90°, in order of rising 2θ:
d (Å)	2θ (°)	I_rel
4.984	17.8	26
4.240	21.0	66
3.498	25.5	31
3.194	27.9	66
2.970	30.1	52
2.483	36.2	100
2.276	39.6	49
2.150	42.0	43
2.080	43.5	34
1.912	47.6	47
1.495	62.1	27
1.420	65.8	30

Atomic structure:
Cell lengths 4.1606, 8.4791, 9.9682 Å; angles 90.00, 90.00, 90.00 degrees
Atoms (fractional coordinates):
Sb 0.0000 0.0000 0.0000
Sb 0.0000 0.5000 0.5000
Sb 0.5000 0.1955 0.3757
Sb 0.5000 0.3045 0.8757
Sb 0.5000 0.6955 0.8757
Sb 0.5000 0.8045 0.3757
Pb 0.0000 0.0000 0.5919
Pb 0.0000 0.5000 0.0919
Au 0.0000 0.0000 0.2715
Au 0.0000 0.5000 0.7715
Au 0.5000 0.0000 0.8052
Au 0.5000 0.5000 0.3052

***

This entry pairs a crystal structure of Ho4AlRh with its theoretical powder diffraction line list. Radiation: copper Kα. Structure: a PBE-relaxed structure.
Lines closer than 0.1° are merged.

Most intense lines, 2θ from 15° to 90°, in order of rising 2θ:
d (Å)	2θ (°)	I_rel
3.609	24.7	37
3.506	25.4	27
2.894	30.9	41
2.868	31.2	74
2.819	31.7	71
2.597	34.5	72
2.514	35.7	33
2.485	36.1	100
2.465	36.5	62
2.271	39.7	29
1.902	47.8	21
1.707	53.7	23

Atomic structure:
Cell lengths 7.9609, 7.9609, 5.9668 Å; angles 104.03, 104.03, 112.64 degrees
Atoms (fractional coordinates):
Ho 0.0591 0.7042 0.9210
Ho 0.2191 0.3585 0.6774
Ho 0.2958 0.9409 0.5790
Ho 0.3585 0.2191 0.1774
Ho 0.6415 0.7809 0.8226
Ho 0.7042 0.0591 0.4210
Ho 0.7809 0.6415 0.3226
Ho 0.9409 0.2958 0.0790
Al 0.3719 0.6281 0.2500
Al 0.6281 0.3719 0.7500
Rh 0.0005 0.9995 0.7500
Rh 0.9995 0.0005 0.2500

***

This entry pairs a crystal structure of Th2Ni9Rh with its theoretical powder diffraction line list. Radiation: copper Kα. Structure: a PBE-relaxed structure.
Lines closer than 0.1° are merged.

Most intense lines, 2θ from 15° to 90°, in order of rising 2θ:
d (Å)	2θ (°)	I_rel
4.262	20.8	30
3.507	25.4	48
2.682	33.4	59
2.501	35.9	100
2.460	36.5	100
2.157	41.9	68
2.118	42.7	66
2.036	44.5	38
1.973	46.0	55
1.821	50.1	47
1.436	64.9	37
1.250	76.1	36

Atomic structure:
Cell lengths 8.4756, 8.4756, 8.4756 Å; angles 34.32, 34.32, 34.32 degrees
Atoms (fractional coordinates):
Th 0.1264 0.1264 0.1264
Th 0.8736 0.8736 0.8736
Ni 0.0790 0.5819 0.5819
Ni 0.3331 0.3331 0.3331
Ni 0.4181 0.4181 0.9210
Ni 0.4181 0.9210 0.4181
Ni 0.5000 0.5000 0.5000
Ni 0.5819 0.0790 0.5819
Ni 0.5819 0.5819 0.0790
Ni 0.6669 0.6669 0.6669
Ni 0.9210 0.4181 0.4181
Rh 0.0000 0.0000 0.0000

***

This entry pairs a crystal structure of BaHgH with its theoretical powder diffraction line list. Radiation: copper Kα. Structure: a PBE-relaxed structure.
Lines closer than 0.1° are merged.

Most intense lines, 2θ from 15° to 90°, in order of rising 2θ:
d (Å)	2θ (°)	I_rel
3.447	25.8	100
3.225	27.7	9
2.848	31.4	28
2.662	33.7	24
2.262	39.9	40
2.202	41.0	10
2.189	41.2	19
1.940	46.8	12
1.891	48.1	19
1.852	49.2	12
1.470	63.2	10
1.451	64.2	16

Atomic structure:
Cell lengths 10.0217, 10.0217, 10.0217 Å; angles 26.09, 26.09, 26.09 degrees
Atoms (fractional coordinates):
Ba 0.1071 0.1071 0.1071
Ba 0.8929 0.8929 0.8929
Hg 0.3572 0.3572 0.3572
Hg 0.6428 0.6428 0.6428
H 0.1998 0.1998 0.1998
H 0.8002 0.8002 0.8002

***

This entry pairs a crystal structure of GeP with its theoretical powder diffraction line list. Radiation: copper Kα. Structure: a PBE-relaxed structure.
Lines closer than 0.1° are merged.

Most intense lines, 2θ from 15° to 90°, in order of rising 2θ:
d (Å)	2θ (°)	I_rel
4.231	21.0	37
3.172	28.1	70
2.970	30.1	100
2.820	31.7	16
2.108	42.9	79
1.831	49.8	44
1.760	52.0	43
1.680	54.6	14
1.536	60.3	15
1.382	67.8	20
1.269	74.8	14
1.103	88.7	20

Atomic structure:
Cell lengths 3.6623, 3.6623, 8.4613 Å; angles 90.00, 90.00, 120.00 degrees
Atoms (fractional coordinates):
Ge 0.0000 0.0000 0.1466
Ge 0.0000 0.0000 0.8534
P 0.3333 0.6667 0.7282
P 0.6667 0.3333 0.2718